1.
Li2VF6: theoretical powder XRD pattern (a wavelength of 1.5418 Å), based on a cell relaxed with PBE+U.

Peak list (12 most intense, 2θ = 10–90°, in order of rising 2θ)
2θ/deg, I/Imax
11.80, 30
17.40, 21
18.64, 100
19.94, 76
22.15, 30
23.73, 38
25.14, 66
29.55, 47
31.15, 23
40.31, 22
48.88, 33
51.60, 54

Crystal structure
Lattice parameters (Å, degrees): 5.130 5.021 15.090 90.00 96.39 90.00
Element x y z (fractional)
1 Li 0.179 0.021 0.088
2 Li 0.179 0.479 0.588
3 Li 0.244 0.511 0.249
4 Li 0.244 0.989 0.749
5 Li 0.756 0.011 0.251
6 Li 0.756 0.489 0.751
7 Li 0.821 0.521 0.412
8 Li 0.821 0.979 0.912
9 V 0.327 0.061 0.400
10 V 0.327 0.439 0.900
11 V 0.673 0.561 0.100
12 V 0.673 0.939 0.600
13 F 0.067 0.210 0.305
14 F 0.067 0.290 0.805
15 F 0.099 0.720 0.872
16 F 0.099 0.780 0.372
17 F 0.140 0.205 0.968
18 F 0.140 0.295 0.468
19 F 0.370 0.677 0.012
20 F 0.370 0.823 0.512
21 F 0.427 0.162 0.653
22 F 0.427 0.338 0.153
23 F 0.481 0.677 0.660
24 F 0.481 0.823 0.160
25 F 0.519 0.177 0.840
26 F 0.519 0.323 0.340
27 F 0.573 0.662 0.847
28 F 0.573 0.838 0.347
29 F 0.630 0.177 0.488
30 F 0.630 0.323 0.988
31 F 0.860 0.705 0.532
32 F 0.860 0.795 0.032
33 F 0.901 0.220 0.628
34 F 0.901 0.280 0.128
35 F 0.933 0.710 0.195
36 F 0.933 0.790 0.695

2.
LiFe2Cl2O2: theoretical powder XRD pattern (a wavelength of 1.5418 Å), based on a cell relaxed with PBE+U.

Peak list (12 most intense, 2θ = 10–90°, in order of rising 2θ)
2θ/deg, I/Imax
10.47, 100
24.66, 44
33.60, 49
36.06, 21
40.68, 8
41.45, 17
45.42, 14
47.54, 11
48.79, 8
53.26, 8
57.67, 17
63.16, 8

Crystal structure
Lattice parameters (Å, degrees): 3.440 3.994 8.446 90.00 90.00 90.00
Element x y z (fractional)
1 Li 0.000 0.000 0.000
2 Fe 0.000 0.000 0.427
3 Fe 0.500 0.500 0.606
4 Cl 0.000 0.500 0.847
5 Cl 0.500 0.000 0.193
6 O 0.000 0.500 0.483
7 O 0.500 0.000 0.589

3.
DyCrO2: theoretical powder XRD pattern (a wavelength of 1.5418 Å), based on a cell relaxed with PBE+U.

Peak list (12 most intense, 2θ = 10–90°, in order of rising 2θ)
2θ/deg, I/Imax
16.35, 47
30.17, 46
33.04, 100
33.73, 20
41.91, 44
52.50, 37
55.44, 31
60.76, 13
69.33, 16
70.93, 23
86.80, 17
88.55, 10

Crystal structure
Lattice parameters (Å, degrees): 7.327 7.327 7.327 130.82 130.82 72.10
Element x y z (fractional)
1 Dy 0.000 0.000 0.000
2 Dy 0.000 0.000 0.500
3 Dy 0.000 0.500 0.000
4 Dy 0.500 0.000 0.500
5 Cr 0.000 0.500 0.500
6 Cr 0.500 0.000 0.000
7 Cr 0.500 0.500 0.000
8 Cr 0.500 0.500 0.500
9 O 0.200 0.228 0.528
10 O 0.200 0.673 0.972
11 O 0.228 0.200 0.028
12 O 0.327 0.800 0.528
13 O 0.673 0.200 0.472
14 O 0.772 0.800 0.972
15 O 0.800 0.327 0.028
16 O 0.800 0.772 0.472

4.
Nd2CoRuO6: theoretical powder XRD pattern (a wavelength of 1.5418 Å), based on a cell relaxed with PBE+U.

Peak list (12 most intense, 2θ = 10–90°, in order of rising 2θ)
2θ/deg, I/Imax
25.12, 16
30.72, 20
32.11, 100
32.87, 35
45.62, 19
46.48, 14
47.16, 10
51.34, 14
56.75, 9
58.11, 11
58.23, 21
67.17, 10

Crystal structure
Lattice parameters (Å, degrees): 5.447 5.821 9.522 90.00 124.84 90.00
Element x y z (fractional)
1 Nd 0.230 0.067 0.251
2 Nd 0.230 0.433 0.751
3 Nd 0.770 0.567 0.249
4 Nd 0.770 0.933 0.749
5 Co 0.500 0.000 0.000
6 Co 0.500 0.500 0.500
7 Ru 0.000 0.000 0.500
8 Ru 0.000 0.500 0.000
9 O 0.135 0.205 0.945
10 O 0.135 0.295 0.445
11 O 0.252 0.696 0.951
12 O 0.252 0.804 0.451
13 O 0.348 0.033 0.747
14 O 0.348 0.467 0.247
15 O 0.652 0.533 0.753
16 O 0.652 0.967 0.253
17 O 0.748 0.196 0.549
18 O 0.748 0.304 0.049
19 O 0.865 0.705 0.555
20 O 0.865 0.795 0.055

5.
LiV6O11F: theoretical powder XRD pattern (a wavelength of 1.5418 Å), based on a cell relaxed with PBE+U.

Peak list (12 most intense, 2θ = 10–90°, in order of rising 2θ)
2θ/deg, I/Imax
26.43, 96
27.24, 100
35.45, 50
35.57, 48
40.80, 19
52.77, 27
53.60, 30
53.71, 15
53.82, 14
54.42, 18
56.20, 18
61.86, 16

Crystal structure
Lattice parameters (Å, degrees): 4.683 4.716 8.999 89.81 89.78 88.31
Element x y z (fractional)
1 Li 0.000 0.000 0.000
2 V 0.002 0.510 0.745
3 V 0.013 0.521 0.392
4 V 0.457 0.965 0.571
5 V 0.506 0.015 0.899
6 V 0.520 0.027 0.245
7 V 0.995 0.501 0.078
8 O 0.191 0.700 0.567
9 O 0.193 0.704 0.911
10 O 0.197 0.705 0.252
11 O 0.296 0.190 0.077
12 O 0.297 0.193 0.736
13 O 0.298 0.198 0.407
14 O 0.685 0.806 0.736
15 O 0.689 0.805 0.407
16 O 0.693 0.810 0.076
17 O 0.786 0.290 0.911
18 O 0.796 0.300 0.246
19 F 0.802 0.311 0.568

6.
Li9Mn2Co5O16: theoretical powder XRD pattern (a wavelength of 1.5418 Å), based on a cell relaxed with PBE+U.

Peak list (12 most intense, 2θ = 10–90°, in order of rising 2θ)
2θ/deg, I/Imax
18.40, 100
35.03, 15
36.39, 26
37.32, 8
37.68, 7
42.22, 30
44.24, 52
47.50, 9
58.30, 9
62.81, 29
63.87, 7
64.84, 7

Crystal structure
Lattice parameters (Å, degrees): 5.183 5.752 9.730 90.00 98.22 90.00
Element x y z (fractional)
1 Li 0.000 0.000 0.000
2 Li 0.000 0.249 0.500
3 Li 0.000 0.751 0.500
4 Li 0.244 0.500 0.754
5 Li 0.258 0.000 0.761
6 Li 0.500 0.248 0.000
7 Li 0.500 0.752 0.000
8 Li 0.742 0.000 0.239
9 Li 0.756 0.500 0.246
10 Mn 0.500 0.000 0.500
11 Mn 0.500 0.500 0.500
12 Co 0.000 0.500 0.000
13 Co 0.236 0.248 0.241
14 Co 0.236 0.752 0.241
15 Co 0.764 0.248 0.759
16 Co 0.764 0.752 0.759
17 O 0.104 0.268 0.881
18 O 0.104 0.732 0.881
19 O 0.129 0.500 0.360
20 O 0.158 0.000 0.381
21 O 0.337 0.500 0.114
22 O 0.374 0.000 0.140
23 O 0.389 0.247 0.615
24 O 0.389 0.753 0.615
25 O 0.611 0.247 0.385
26 O 0.611 0.753 0.385
27 O 0.626 0.000 0.860
28 O 0.663 0.500 0.886
29 O 0.842 0.000 0.619
30 O 0.871 0.500 0.640
31 O 0.896 0.268 0.119
32 O 0.896 0.732 0.119

7.
VSb2O5: theoretical powder XRD pattern (a wavelength of 1.5418 Å), based on a cell relaxed with PBE+U.

Peak list (12 most intense, 2θ = 10–90°, in order of rising 2θ)
2θ/deg, I/Imax
17.90, 48
24.32, 79
27.12, 100
28.56, 81
29.61, 59
32.88, 22
33.29, 20
34.50, 19
43.50, 22
46.35, 21
50.16, 25
52.26, 23

Crystal structure
Lattice parameters (Å, degrees): 9.440 9.440 5.585 94.58 94.58 31.67
Element x y z (fractional)
1 V 0.129 0.871 0.750
2 V 0.871 0.129 0.250
3 Sb 0.045 0.632 0.345
4 Sb 0.368 0.955 0.155
5 Sb 0.632 0.045 0.845
6 Sb 0.955 0.368 0.655
7 O 0.071 0.071 0.022
8 O 0.071 0.071 0.522
9 O 0.112 0.301 0.351
10 O 0.301 0.112 0.851
11 O 0.447 0.553 0.750
12 O 0.553 0.447 0.250
13 O 0.699 0.888 0.149
14 O 0.888 0.699 0.649
15 O 0.929 0.929 0.478
16 O 0.929 0.929 0.978

8.
CoP4O12: theoretical powder XRD pattern (a wavelength of 1.5418 Å), based on a cell relaxed with PBE+U.

Peak list (12 most intense, 2θ = 10–90°, in order of rising 2θ)
2θ/deg, I/Imax
10.49, 43
14.39, 100
17.34, 35
19.10, 14
21.64, 12
22.69, 33
25.50, 22
26.09, 11
26.25, 15
29.40, 13
34.06, 20
35.10, 11

Crystal structure
Lattice parameters (Å, degrees): 10.507 10.507 5.131 96.48 96.48 71.72
Element x y z (fractional)
1 Co 0.000 0.500 0.000
2 Co 0.500 0.000 0.000
3 P 0.138 0.712 0.818
4 P 0.199 0.442 0.534
5 P 0.288 0.862 0.182
6 P 0.442 0.199 0.534
7 P 0.558 0.801 0.466
8 P 0.712 0.138 0.818
9 P 0.801 0.558 0.466
10 P 0.862 0.288 0.182
11 O 0.054 0.666 0.985
12 O 0.066 0.830 0.663
13 O 0.101 0.416 0.702
14 O 0.169 0.427 0.242
15 O 0.170 0.934 0.337
16 O 0.219 0.586 0.627
17 O 0.267 0.733 0.000
18 O 0.334 0.946 0.015
19 O 0.348 0.348 0.613
20 O 0.414 0.781 0.373
21 O 0.416 0.101 0.702
22 O 0.427 0.169 0.242
23 O 0.573 0.831 0.758
24 O 0.584 0.899 0.298
25 O 0.586 0.219 0.627
26 O 0.652 0.652 0.387
27 O 0.666 0.054 0.985
28 O 0.733 0.267 0.000
29 O 0.781 0.414 0.373
30 O 0.830 0.066 0.663
31 O 0.831 0.573 0.758
32 O 0.899 0.584 0.298
33 O 0.934 0.170 0.337
34 O 0.946 0.334 0.015